Record 1
Np2Ga5Pt3: calculated powder X-ray diffraction pattern (Cu Kα X-rays), based on a PBE-relaxed structure.
Neutral-atom scattering factors, no anomalous dispersion.

Peak list (12 most intense, 2θ from 10° to 90°, low angle first)
hkl 0 6 1, d 3.527, rel. 16; hkl 1 3 1, d 3.366, rel. 15; hkl 0 6 2, d 2.605, rel. 20; hkl 1 7 1, d 2.558, rel. 54; hkl 1 3 2, d 2.538, rel. 100; hkl 1 9 0, d 2.343, rel. 28; hkl 0 10 1, d 2.334, rel. 25; hkl 2 0 0, d 2.205, rel. 44; hkl 1 3 3, d 1.936, rel. 15; hkl 2 10 1, d 1.603, rel. 16; hkl 1 13 3, d 1.380, rel. 15; hkl 3 3 2, d 1.328, rel. 21

Cell and atoms:
```
data_Np2Ga5Pt3
_cell_length_a 4.4093
_cell_length_b 24.8979
_cell_length_c 6.6934
_cell_angle_alpha 90.00
_cell_angle_beta 90.00
_cell_angle_gamma 90.00
_symmetry_space_group_name_H-M 'C m c 21'
_symmetry_Int_Tables_number 36
_symmetry_space_group_name_Hall 'C 2c -2'
loop_
_atom_site_label
_atom_site_type_symbol
_atom_site_fract_x
_atom_site_fract_y
_atom_site_fract_z
_atom_site_occupancy
Np1 Np 0.0000 0.0163 0.0000 1
Np2 Np 0.0000 0.3284 0.0388 1
Ga1 Ga 0.0000 0.1042 0.3422 1
Ga2 Ga 0.0000 0.2075 0.8461 1
Ga3 Ga 0.0000 0.2086 0.2531 1
Ga4 Ga 0.0000 0.3767 0.5007 1
Ga5 Ga 0.0000 0.4487 0.1802 1
Pt1 Pt 0.0000 0.1067 0.7441 1
Pt2 Pt 0.0000 0.2752 0.5509 1
Pt3 Pt 0.0000 0.4481 0.7846 1
```

---

Record 2
Er7MgSc2: calculated powder X-ray diffraction pattern (Cu Kα X-rays), based on a PBE-relaxed structure.
Neutral-atom scattering factors, no anomalous dispersion.

Peak list (12 most intense, 2θ from 10° to 90°, low angle first)
hkl 0 0 1, d 5.445, rel. 85; hkl 0 2 1, d 4.386, rel. 68; hkl 2 0 1, d 3.396, rel. 48; hkl 2 2 1, d 3.086, rel. 31; hkl 0 4 1, d 3.061, rel. 80; hkl 3 1 0, d 2.842, rel. 41; hkl 2 4 0, d 2.817, rel. 100; hkl 0 0 2, d 2.723, rel. 78; hkl 3 1 1, d 2.520, rel. 79; hkl 1 5 1, d 2.492, rel. 60; hkl 2 4 2, d 1.958, rel. 70; hkl 0 8 2, d 1.530, rel. 35

Cell and atoms:
```
data_Er7MgSc2
_cell_length_a 8.6884
_cell_length_b 14.8012
_cell_length_c 5.4453
_cell_angle_alpha 90.00
_cell_angle_beta 90.00
_cell_angle_gamma 90.00
_symmetry_space_group_name_H-M 'C m m m'
_symmetry_Int_Tables_number 65
_symmetry_space_group_name_Hall '-C 2 2'
loop_
_atom_site_label
_atom_site_type_symbol
_atom_site_fract_x
_atom_site_fract_y
_atom_site_fract_z
_atom_site_occupancy
Er1 Er 0.0000 0.0000 0.0000 1
Er2 Er 0.0000 0.2607 0.5000 1
Er3 Er 0.1806 0.3836 0.0000 1
Mg1 Mg 0.0000 0.5000 0.5000 1
Sc1 Sc 0.0000 0.2091 0.0000 1
```

---

Record 3
Sm5Ga6: calculated powder X-ray diffraction pattern (Cu Kα X-rays), based on a PBE-relaxed structure.
Neutral-atom scattering factors, no anomalous dispersion.

Peak list (12 most intense, 2θ from 10° to 90°, low angle first)
hkl 1 1 2, d 3.661, rel. 15; hkl 0 2 0, d 3.624, rel. 11; hkl 0 1 5, d 2.856, rel. 20; hkl 0 0 6, d 2.589, rel. 19; hkl 1 2 3, d 2.562, rel. 100; hkl 2 0 0, d 2.530, rel. 28; hkl 1 3 2, d 2.101, rel. 9; hkl 2 1 5, d 1.894, rel. 12; hkl 2 0 6, d 1.810, rel. 13; hkl 1 1 8, d 1.759, rel. 12; hkl 3 2 3, d 1.467, rel. 18; hkl 1 3 8, d 1.451, rel. 10

Cell and atoms:
```
data_Sm5Ga6
_cell_length_a 5.0603
_cell_length_b 7.2570
_cell_length_c 15.5343
_cell_angle_alpha 90.00
_cell_angle_beta 90.00
_cell_angle_gamma 90.00
_symmetry_space_group_name_H-M 'I m m m'
_symmetry_Int_Tables_number 71
_symmetry_space_group_name_Hall '-I 2 2'
loop_
_atom_site_label
_atom_site_type_symbol
_atom_site_fract_x
_atom_site_fract_y
_atom_site_fract_z
_atom_site_occupancy
Sm1 Sm 0.0000 0.0000 0.0000 1
Sm2 Sm 0.0000 0.0000 0.3659 1
Sm3 Sm 0.0000 0.5000 0.3176 1
Ga1 Ga 0.0000 0.2393 0.1666 1
Ga2 Ga 0.0000 0.2922 0.5000 1
```

---

Record 4
TmTh2ZrAs4: calculated powder X-ray diffraction pattern (Cu Kα X-rays), based on a PBE-relaxed structure.
Neutral-atom scattering factors, no anomalous dispersion.

Peak list (12 most intense, 2θ from 10° to 90°, low angle first)
hkl 0 0 2, d 3.362, rel. 22; hkl 1 1 1, d 2.905, rel. 100; hkl 1 1 -3, d 2.062, rel. 25; hkl 0 2 0, d 2.058, rel. 13; hkl 2 0 2, d 2.051, rel. 12; hkl 3 1 -1, d 2.045, rel. 24; hkl 2 2 -2, d 1.679, rel. 13; hkl 2 2 2, d 1.452, rel. 12; hkl 0 2 4, d 1.303, rel. 11; hkl 4 2 0, d 1.295, rel. 11; hkl 1 3 -3, d 1.189, rel. 9; hkl 4 2 -4, d 1.186, rel. 8

Cell and atoms:
```
data_TmTh2ZrAs4
_cell_length_a 7.0702
_cell_length_b 4.1160
_cell_length_c 7.1499
_cell_angle_alpha 90.00
_cell_angle_beta 109.54
_cell_angle_gamma 90.00
_symmetry_space_group_name_H-M 'P 1 2/m 1'
_symmetry_Int_Tables_number 10
_symmetry_space_group_name_Hall '-P 2y'
loop_
_atom_site_label
_atom_site_type_symbol
_atom_site_fract_x
_atom_site_fract_y
_atom_site_fract_z
_atom_site_occupancy
Tm1 Tm 0.0000 0.0000 0.0000 1
Th1 Th 0.5000 0.0000 0.5000 1
Th2 Th 0.5000 0.5000 0.0000 1
Zr1 Zr 0.0000 0.5000 0.5000 1
As1 As 0.2303 0.0000 0.7399 1
As2 As 0.2328 0.5000 0.2481 1
```